Theoretical PXRD pattern of Rb2AcMnF8 for Cu Kα X-rays, from a structure optimized by DFT (PBE+U).
No peak broadening, texture or thermal motion is included.

a = 4.402 Å, b = 6.444 Å, c = 7.762 Å
α = 87.57°, β = 88.96°, γ = 84.50°
Fractional coordinates of all 12 atoms:
Rb 0.012 0.498 0.229
Rb 0.988 0.502 0.771
Ac 0.500 0.000 0.500
Mn 0.500 0.000 0.000
F 0.005 0.214 0.513
F 0.138 0.171 0.008
F 0.417 0.828 0.205
F 0.430 0.788 0.767
F 0.570 0.212 0.233
F 0.583 0.172 0.795
F 0.862 0.829 0.992
F 0.995 0.786 0.487

Largest 10 diffraction maxima, most intense first, 2θ from 15° to 90°:
2theta, Rel. int., (hkl)
23.48, 100, 1 1 0
25.71, 80, 1 -1 0
26.37, 65, 0 1 2
27.37, 60, 0 1 -2
39.72, 39, 1 2 2
41.45, 32, 1 2 -2
27.84, 31, 0 2 0
30.58, 29, 1 0 2
41.21, 27, 2 0 0
43.86, 25, 1 -2 2